Diffraction record for Ti2Be2ZnRh5. The powder diffraction line list is theoretical, not measured: it uses DFT lattice parameters and positions (PBE) and copper Kα.
Neutral-atom scattering factors, no anomalous dispersion.

a = 9.231 Å, b = 9.231 Å, c = 3.099 Å
α = 90.00°, β = 90.00°, γ = 90.00°
Atoms (fractional coordinates):
Ti 0.176 0.324 0.000
Ti 0.324 0.824 0.000
Ti 0.676 0.176 0.000
Ti 0.824 0.676 0.000
Be 0.124 0.624 0.000
Be 0.376 0.124 0.000
Be 0.624 0.876 0.000
Be 0.876 0.376 0.000
Zn 0.000 0.000 0.000
Zn 0.500 0.500 0.000
Rh 0.000 0.500 0.500
Rh 0.076 0.792 0.500
Rh 0.208 0.076 0.500
Rh 0.292 0.576 0.500
Rh 0.424 0.292 0.500
Rh 0.500 0.000 0.500
Rh 0.576 0.708 0.500
Rh 0.708 0.424 0.500
Rh 0.792 0.924 0.500
Rh 0.924 0.208 0.500

Largest 8 diffraction maxima, most intense first, 2θ from 5° to 70°:
| 2theta | intensity |
| --- | --- |
| 42.55 | 1000 |
| 40.28 | 610 |
| 36.25 | 402 |
| 45.98 | 400 |
| 43.86 | 367 |
| 28.81 | 363 |
| 35.05 | 295 |
| 40.13 | 213 |